Structure and calculated XRD peak list of Zr4SnN3 (a crystal structure in OQMD, relaxed with GGA-PBE; Cu Kα (λ = 1.5418 Å)).
Neutral-atom scattering factors, no anomalous dispersion.

Most intense lines, 2θ from 5° to 70°, most intense first:
hkl 1 0 6, 38.2°, I 100
hkl 1 0 5, 36.3°, I 99
hkl 1 0 4, 34.6°, I 59
hkl 1 1 0, 56.1°, I 53
hkl 0 0 10, 35.4°, I 48
hkl 1 1 10, 68.1°, I 44
hkl 1 0 1, 31.7°, I 41
hkl 1 0 16, 67.7°, I 26
hkl 1 0 11, 51.1°, I 22
hkl 1 0 15, 64.1°, I 16

Structural model:
```
data_Zr4SnN3
_chemical_formula_sum 'Zr8 Sn2 N6'
_cell_length_a 3.2775
_cell_length_b 3.2775
_cell_length_c 25.3421
_cell_angle_alpha 90.00
_cell_angle_beta 90.00
_cell_angle_gamma 120.00
_symmetry_space_group_name_H-M 'P 63/m m c'
_symmetry_Int_Tables_number 194
_symmetry_space_group_name_Hall '-P 6c 2c'
loop_
_atom_site_label
_atom_site_type_symbol
_atom_site_fract_x
_atom_site_fract_y
_atom_site_fract_z
Zr1 Zr 0.0000 0.0000 0.1544
Zr2 Zr 0.3333 0.6667 0.0535
Sn1 Sn 0.3333 0.6667 0.2500
N1 N 0.0000 0.0000 0.0000
N2 N 0.3333 0.6667 0.6040
```